AlOsCl8: simulated PXRD pattern (Cu Ka), based on the PBE geometry in OQMD.
Intensities are scaled so that the largest is 100.

Atomic structure:
```
20
Lattice="4.0036 -8.5353 0.0000 4.0036 8.5353 0.0000 0.0000 0.0000 8.2078" Properties=species:S:1:pos:R:3 pbc="T T T"
Al 4.0036 5.4186 6.1558
Al 4.0036 -5.4186 2.0519
Os 4.0036 2.0165 6.1558
Os 4.0036 -2.0165 2.0519
Cl 2.3581 3.8911 6.1558
Cl 4.0036 6.5244 4.3729
Cl 4.0036 6.5244 7.9388
Cl 2.3370 0.5310 6.1558
Cl 2.3370 -0.5310 2.0519
Cl 4.0036 2.1948 0.2284
Cl 4.0036 2.1948 3.8755
Cl 5.6491 3.8911 6.1558
Cl 2.3581 -3.8911 2.0519
Cl 4.0036 -2.1948 4.3323
Cl 4.0036 -2.1948 7.9794
Cl 5.6702 0.5310 6.1558
Cl 5.6702 -0.5310 2.0519
Cl 4.0036 -6.5244 0.2690
Cl 4.0036 -6.5244 3.8349
Cl 5.6491 -3.8911 2.0519
```

Most intense lines, 2θ = 10–90°, low angle first:
2θ/deg  intensity
12.2  61.2
15.0  64.5
16.3  100.0
20.8  21.4
22.0  28.1
22.2  21.4
24.9  25.9
30.6  63.4
40.4  23.4
51.7  21.2



Al2PdCl8: simulated PXRD pattern (Cu Ka), based on the PBE geometry in OQMD.
Intensities are scaled so that the largest is 100.

Atomic structure:
```
22
Lattice="6.6286 0.0000 0.0000 0.0000 7.3572 0.0000 -1.4426 0.0000 12.9371" Properties=species:S:1:pos:R:3 pbc="T T T"
Al 0.4934 1.5965 5.1400
Al -0.2279 2.0821 11.6085
Al 5.4139 5.2751 1.3286
Al 4.6926 5.7607 7.7971
Pd 3.3143 0.0000 0.0000
Pd 2.5930 3.6786 6.4686
Cl 0.8668 5.2410 0.9813
Cl 0.1454 5.7948 7.4498
Cl 1.2296 0.1322 3.8249
Cl 0.5083 3.5464 10.2935
Cl 0.5363 0.0630 11.0123
Cl 1.2576 3.6156 4.5438
Cl 1.5750 1.6667 7.0923
Cl 2.2963 2.0119 0.6237
Cl 2.8897 5.3453 12.3134
Cl 3.6110 5.6905 5.8448
Cl 3.9283 3.7416 8.3933
Cl 4.6497 7.2942 1.9248
Cl 4.6777 3.8108 2.6436
Cl 3.9564 7.2250 9.1122
Cl 5.0406 1.5624 5.4873
Cl 4.3192 2.1162 11.9558
```

Most intense lines, 2θ = 10–90°, low angle first:
2θ/deg  intensity
13.7  94.4
13.8  80.1
18.1  100.0
18.8  54.8
19.9  63.7
26.4  61.8
30.4  75.7
32.2  67.3
37.3  37.8
38.1  56.0



TbAl3Cl12: simulated PXRD pattern (Cu Ka), based on the PBE geometry in OQMD.
Intensities are scaled so that the largest is 100.

Atomic structure:
```
48
Lattice="10.5186 0.0000 0.0000 -5.2593 9.1093 0.0000 0.0000 0.0000 15.6496" Properties=species:S:1:pos:R:3 pbc="T T T"
Tb 0.0000 3.0799 2.6083
Tb -2.5920 7.5694 13.0413
Tb 2.5920 7.5694 7.8248
Al -1.0456 5.4692 0.0000
Al 2.7275 0.8208 3.6349
Al 2.0746 1.9517 12.0147
Al 1.0456 5.4692 5.2165
Al 0.0000 7.2802 10.4331
Al 7.7910 0.8208 1.5816
Al 4.6064 6.3368 14.0680
Al 8.4439 1.9517 8.8514
Al 5.9122 6.3368 6.7981
Cl -2.0824 4.8272 1.7813
Cl -2.1200 4.8924 13.8683
Cl -0.2110 2.8757 8.5256
Cl -2.8743 7.4888 7.1240
Cl -0.8718 4.5266 4.9667
Cl -1.7750 6.0910 10.6829
Cl 1.7841 0.0079 10.9596
Cl 0.8989 1.5411 4.6899
Cl 0.2110 2.8757 12.3406
Cl -2.6634 7.8542 3.3090
Cl 2.7749 1.0682 13.9295
Cl 2.3126 1.8690 1.7201
Cl 0.8718 4.5266 0.2498
Cl -0.9032 7.6011 15.3998
Cl 2.0824 4.8272 3.4352
Cl -0.0376 8.4991 12.2144
Cl 2.1200 4.8924 6.9978
Cl 0.0377 8.4991 8.6517
Cl 1.7750 6.0910 10.1832
Cl 0.9032 7.6011 5.4664
Cl 4.4449 1.5795 4.5754
Cl 3.5904 3.0596 11.0742
Cl 6.0737 1.5795 0.6411
Cl 4.4047 4.4702 15.0085
Cl 2.8743 7.4888 13.7421
Cl 2.6634 7.8542 1.9075
Cl 7.7436 1.0682 6.9366
Cl 4.7969 6.1721 8.7129
Cl 6.9282 3.0596 9.7919
Cl 6.1138 4.4702 5.8577
Cl 8.7345 0.0079 9.9065
Cl 4.3741 7.5603 5.7431
Cl 8.2060 1.8690 3.4964
Cl 5.7216 6.1721 12.1532
Cl 9.6197 1.5411 0.5266
Cl 6.1445 7.5603 15.1230
```

Most intense lines, 2θ = 10–90°, low angle first:
2θ/deg  intensity
11.2  100.0
14.9  70.2
19.5  19.3
24.0  26.0
26.0  24.9
28.3  15.0
31.6  25.4
33.3  27.1
34.7  16.4
38.3  36.1



AlCo12: simulated PXRD pattern (Cu Ka), based on the PBE geometry in OQMD.
Intensities are scaled so that the largest is 100.

Atomic structure:
```
13
Lattice="2.2896 1.3219 8.0542 -2.2896 1.3219 8.0542 0.0000 -2.6438 8.0542" Properties=species:S:1:pos:R:3 pbc="T T T"
Al 0.0000 0.0000 0.0000
Co 0.0000 -1.3017 6.1040
Co -1.1273 0.6508 6.1040
Co 0.0000 0.0000 4.0314
Co 0.0000 0.0000 8.4469
Co -1.1273 -0.6508 18.0587
Co 0.0000 0.0000 10.9565
Co 0.0000 0.0000 13.2061
Co 1.1273 0.6508 6.1040
Co 0.0000 0.0000 15.7157
Co 0.0000 0.0000 20.1313
Co 1.1273 -0.6508 18.0587
Co 0.0000 1.3017 18.0587
```

Most intense lines, 2θ = 10–90°, low angle first:
2θ/deg  intensity
39.4  47.4
43.9  59.8
45.0  27.2
45.6  100.0
45.9  69.6
47.3  56.6
48.3  28.5
49.7  51.5
53.3  26.0
84.7  34.1



Al4Co9: simulated PXRD pattern (Cu Ka), based on the PBE geometry in OQMD.
Intensities are scaled so that the largest is 100.

Atomic structure:
```
13
Lattice="2.3037 1.3301 8.4109 -2.3037 1.3301 8.4109 0.0000 -2.6601 8.4109" Properties=species:S:1:pos:R:3 pbc="T T T"
Al 0.0000 0.0000 1.2294
Al 0.0000 0.0000 3.8393
Al 0.0000 0.0000 21.3933
Al 0.0000 0.0000 24.0032
Co -1.1667 -0.6736 10.6484
Co 0.0000 0.0000 8.4881
Co 0.0000 -1.3472 14.5842
Co -1.1667 0.6736 14.5842
Co 0.0000 0.0000 12.6163
Co 1.1667 -0.6736 10.6484
Co 0.0000 1.3472 10.6484
Co 0.0000 0.0000 16.7445
Co 1.1667 0.6736 14.5842
```

Most intense lines, 2θ = 10–90°, low angle first:
2θ/deg  intensity
21.1  24.3
22.6  59.3
42.4  26.3
43.0  41.9
44.9  100.0
45.6  67.8
47.8  24.0
49.1  68.3
52.4  50.2
84.0  27.3



AlCo5: simulated PXRD pattern (Cu Ka), based on the PBE geometry in OQMD.
Intensities are scaled so that the largest is 100.

Atomic structure:
```
12
Lattice="2.3130 -4.0292 0.0000 2.3130 4.0292 0.0000 0.0000 0.0000 7.4227" Properties=species:S:1:pos:R:3 pbc="T T T"
Al 2.3130 2.6048 5.5670
Al 2.3130 -2.6048 1.8557
Co 0.0000 0.0000 0.0000
Co 0.0000 0.0000 3.7113
Co 1.1913 0.6449 5.5670
Co 1.1913 -0.6449 1.8557
Co 2.3130 1.2954 0.4787
Co 2.3130 1.2954 3.2327
Co 2.3130 -1.2954 4.1900
Co 2.3130 -1.2954 6.9440
Co 3.4346 0.6449 5.5670
Co 3.4346 -0.6449 1.8557
```

Most intense lines, 2θ = 10–90°, low angle first:
2θ/deg  intensity
38.8  50.9
42.9  100.0
46.1  72.6
46.2  70.7
46.7  35.9
46.9  65.5
49.1  21.1
51.8  19.1
80.5  21.0
83.2  20.5



AlCo28: simulated PXRD pattern (Cu Ka), based on the PBE geometry in OQMD.
Intensities are scaled so that the largest is 100.

Atomic structure:
```
29
Lattice="-4.2914 4.2914 4.2914 4.2914 -4.2914 4.2914 4.2914 4.2914 -4.2914" Properties=species:S:1:pos:R:3 pbc="T T T"
Al 0.0000 0.0000 0.0000
Co 2.7186 2.7186 -2.7186
Co 2.4258 0.7811 -0.7811
Co 2.4258 -0.7811 0.7811
Co 4.6334 1.2183 -1.2183
Co 2.7186 -2.7186 2.7186
Co 4.6334 -1.2183 1.2183
Co 6.1569 0.7811 0.7811
Co 0.7811 2.4258 -0.7811
Co 0.7811 -0.7811 2.4258
Co 3.9494 1.2183 1.2183
Co 3.0731 3.0731 -0.3420
Co 3.0731 -0.3420 3.0731
Co 1.5728 1.5728 1.5728
Co -0.7811 2.4258 0.7811
Co -0.7811 0.7811 2.4258
Co 1.2183 4.6334 -1.2183
Co 1.2183 -1.2183 4.6334
Co 1.2183 3.9494 1.2183
Co 1.2183 1.2183 3.9494
Co 3.5103 3.5103 1.8656
Co 3.5103 1.8656 3.5103
Co -2.7186 2.7186 2.7186
Co -1.2183 4.6334 1.2183
Co -1.2183 1.2183 4.6334
Co -0.3420 3.0731 3.0731
Co 0.7811 6.1569 0.7811
Co 0.7811 0.7811 6.1569
Co 1.8656 3.5103 3.5103
```

Most intense lines, 2θ = 10–90°, low angle first:
2θ/deg  intensity
42.1  7.3
44.8  100.0
49.8  28.0
52.2  8.6
54.5  17.6
77.0  4.8
78.9  7.4
82.6  22.2
84.5  4.9
86.3  3.1



Al25Co4: simulated PXRD pattern (Cu Ka), based on the PBE geometry in OQMD.
Intensities are scaled so that the largest is 100.

Atomic structure:
```
29
Lattice="-4.8446 4.8446 4.8446 4.8446 -4.8446 4.8446 4.8446 4.8446 -4.8446" Properties=species:S:1:pos:R:3 pbc="T T T"
Al 0.0000 0.0000 0.0000
Al 2.7258 0.8921 -0.8921
Al 2.7258 -0.8921 0.8921
Al 5.4412 1.3390 -1.3390
Al 5.4412 -1.3390 1.3390
Al 6.9633 0.8921 0.8921
Al 0.8921 2.7258 -0.8921
Al 0.8921 -0.8921 2.7258
Al 4.2479 1.3390 1.3390
Al 3.5055 3.5055 -0.5967
Al 3.5055 -0.5967 3.5055
Al -0.8921 2.7258 0.8921
Al -0.8921 0.8921 2.7258
Al 1.3390 5.4412 -1.3390
Al 1.3390 -1.3390 5.4412
Al 1.3390 4.2479 1.3390
Al 1.3390 1.3390 4.2479
Al 3.9525 3.9525 2.1188
Al 3.9525 2.1188 3.9525
Al -1.3390 5.4412 1.3390
Al -1.3390 1.3390 5.4412
Al -0.5967 3.5055 3.5055
Al 0.8921 6.9633 0.8921
Al 0.8921 0.8921 6.9633
Al 2.1188 3.9525 3.9525
Co 3.4311 3.4311 -3.4311
Co 3.4311 -3.4311 3.4311
Co 1.4134 1.4134 1.4134
Co -3.4311 3.4311 3.4311
```

Most intense lines, 2θ = 10–90°, low angle first:
2θ/deg  intensity
12.9  27.3
22.5  16.7
34.6  25.0
37.1  38.2
39.5  100.0
43.8  44.7
45.9  16.7
47.9  30.0
74.6  18.1
86.4  19.2



Al5Co: simulated PXRD pattern (Cu Ka), based on the PBE geometry in OQMD.
Intensities are scaled so that the largest is 100.

Atomic structure:
```
12
Lattice="3.1660 -4.2848 0.0000 3.1660 4.2848 0.0000 -2.6433 0.0000 7.3361" Properties=species:S:1:pos:R:3 pbc="T T T"
Al -0.9220 0.9754 4.6079
Al 1.1835 2.8653 5.5021
Al 0.3997 -0.9754 0.9398
Al 2.2633 0.9659 0.0263
Al 0.9416 -0.9659 3.6943
Al 2.7470 0.9659 3.6418
Al 1.4253 -0.9659 7.3099
Al 3.2889 0.9754 6.3963
Al 2.5051 -2.8653 1.8340
Al 4.6106 -0.9754 2.7282
Co 1.1835 0.5699 5.5021
Co 2.5051 -0.5699 1.8340
```

Most intense lines, 2θ = 10–90°, low angle first:
2θ/deg  intensity
18.1  67.3
24.1  84.9
26.0  38.3
30.0  46.8
36.2  99.2
42.1  68.2
42.2  38.5
44.0  40.1
45.2  100.0
47.4  71.6



Al7Co8: simulated PXRD pattern (Cu Ka), based on the PBE geometry in OQMD.
Intensities are scaled so that the largest is 100.

Atomic structure:
```
30
Lattice="8.7417 0.0000 0.0000 0.0000 8.7417 0.0000 0.0000 0.0000 4.7930" Properties=species:S:1:pos:R:3 pbc="T T T"
Al 0.0000 0.0000 0.0000
Al 0.9374 0.9374 2.3965
Al 1.7158 7.0259 1.1998
Al 1.7158 7.0259 3.5932
Al 2.6550 2.6550 1.1967
Al 2.6550 2.6550 3.5964
Al 3.4335 5.3082 0.0000
Al 4.3708 4.3708 2.3965
Al 5.3082 3.4335 0.0000
Al 6.0866 6.0866 1.1967
Al 6.0866 6.0866 3.5964
Al 7.0259 1.7158 1.1998
Al 7.0259 1.7158 3.5932
Al 7.8043 7.8043 2.3965
Co 0.2800 3.2339 2.3965
Co 0.4792 2.2915 0.0000
Co 1.1369 4.6509 0.0000
Co 2.0794 4.8500 2.3965
Co 2.2915 0.4792 0.0000
Co 3.2339 0.2800 2.3965
Co 3.8916 6.6623 2.3965
Co 4.0908 7.6048 0.0000
Co 4.6509 1.1369 0.0000
Co 4.8500 2.0794 2.3965
Co 5.5077 8.4616 2.3965
Co 6.4502 8.2625 0.0000
Co 6.6623 3.8916 2.3965
Co 7.6048 4.0908 0.0000
Co 8.2625 6.4502 0.0000
Co 8.4616 5.5077 2.3965
```

Most intense lines, 2θ = 10–90°, low angle first:
2θ/deg  intensity
14.3  51.2
37.5  44.5
42.6  53.3
43.0  21.3
43.9  22.1
44.3  30.5
46.9  100.0
48.1  64.0
74.3  22.9
80.1  20.3



Which formula does entry 10 have? Al7Co8



What did the eighth record say?
Al25Co4: simulated PXRD pattern (Cu Ka), based on the PBE geometry in OQMD.
Intensities are scaled so that the largest is 100.

Atomic structure:
```
29
Lattice="-4.8446 4.8446 4.8446 4.8446 -4.8446 4.8446 4.8446 4.8446 -4.8446" Properties=species:S:1:pos:R:3 pbc="T T T"
Al 0.0000 0.0000 0.0000
Al 2.7258 0.8921 -0.8921
Al 2.7258 -0.8921 0.8921
Al 5.4412 1.3390 -1.3390
Al 5.4412 -1.3390 1.3390
Al 6.9633 0.8921 0.8921
Al 0.8921 2.7258 -0.8921
Al 0.8921 -0.8921 2.7258
Al 4.2479 1.3390 1.3390
Al 3.5055 3.5055 -0.5967
Al 3.5055 -0.5967 3.5055
Al -0.8921 2.7258 0.8921
Al -0.8921 0.8921 2.7258
Al 1.3390 5.4412 -1.3390
Al 1.3390 -1.3390 5.4412
Al 1.3390 4.2479 1.3390
Al 1.3390 1.3390 4.2479
Al 3.9525 3.9525 2.1188
Al 3.9525 2.1188 3.9525
Al -1.3390 5.4412 1.3390
Al -1.3390 1.3390 5.4412
Al -0.5967 3.5055 3.5055
Al 0.8921 6.9633 0.8921
Al 0.8921 0.8921 6.9633
Al 2.1188 3.9525 3.9525
Co 3.4311 3.4311 -3.4311
Co 3.4311 -3.4311 3.4311
Co 1.4134 1.4134 1.4134
Co -3.4311 3.4311 3.4311
```

Most intense lines, 2θ = 10–90°, low angle first:
2θ/deg  intensity
12.9  27.3
22.5  16.7
34.6  25.0
37.1  38.2
39.5  100.0
43.8  44.7
45.9  16.7
47.9  30.0
74.6  18.1
86.4  19.2



Which formula does entry 5 have? Al4Co9